1.
Starting from the PBE geometry in Alexandria, the PXRD pattern of Tb3Ga2 was computed for λ = 1.5418 Å (Cu Kα).
Neutral-atom scattering factors, no anomalous dispersion.

Atomic structure:
```
Tb3Ga2
1.0
-5.8406 5.8406 7.4822
5.8406 -5.8406 7.4822
5.8406 5.8406 -7.4822
Tb Ga
24 16
direct
0.0668 0.9323 0.2692
0.0677 0.3370 0.1346
0.1469 0.6469 0.5000
0.1630 0.4323 0.8654
0.1687 0.3313 0.5000
0.2024 0.9332 0.8654
0.2976 0.1630 0.7308
0.3313 0.8313 0.1626
0.3370 0.2024 0.2692
0.3531 0.8531 0.5000
0.4323 0.5668 0.2692
0.4332 0.7024 0.8654
0.5668 0.2976 0.1346
0.5677 0.4332 0.7308
0.6469 0.1469 0.5000
0.6630 0.7976 0.7308
0.6687 0.1687 0.8374
0.7024 0.8370 0.2692
0.7976 0.0668 0.1346
0.8313 0.6687 0.5000
0.8370 0.5677 0.1346
0.8531 0.3531 0.5000
0.9323 0.6630 0.8654
0.9332 0.0677 0.7308
0.0000 0.0000 0.0000
0.0242 0.8797 0.5000
0.1172 0.6172 0.7344
0.1203 0.6203 0.1445
0.2500 0.2500 0.0000
0.3797 0.5242 0.5000
0.3828 0.1172 0.5000
0.4758 0.9758 0.8555
0.5000 0.5000 0.0000
0.5242 0.0242 0.1445
0.6172 0.8828 0.5000
0.6203 0.4758 0.5000
0.7500 0.7500 0.0000
0.8797 0.3797 0.8555
0.8828 0.3828 0.2656
0.9758 0.1203 0.5000
```

Top 10 peaks for 10 to 80 degrees two-theta, by angle:
2θ (°), Rel. int.
32.16, 83
32.29, 23
32.52, 31
32.96, 42
34.11, 100
34.33, 26
34.54, 20
36.47, 30
53.72, 18
61.35, 20

2.
Starting from the PBE geometry in Alexandria, the PXRD pattern of Hg6IF9 was computed for λ = 1.5418 Å (Cu Kα).
Neutral-atom scattering factors, no anomalous dispersion.

Atomic structure:
```
Hg6IF9
1.0
7.1101 0.0000 0.0000
1.6270 7.0182 0.0000
0.0064 2.4969 6.8239
Hg I F
6 1 9
direct
0.0226 0.4156 0.3679
0.1734 0.9023 0.8357
0.3253 0.9130 0.3718
0.6747 0.0870 0.6282
0.8266 0.0977 0.1643
0.9774 0.5844 0.6321
0.5000 0.0000 0.0000
0.0000 0.0000 0.5000
0.0796 0.2723 0.1471
0.1097 0.8345 0.1755
0.3201 0.6834 0.6827
0.3373 0.1280 0.5528
0.6627 0.8720 0.4472
0.6799 0.3166 0.3173
0.8903 0.1655 0.8245
0.9204 0.7277 0.8529
```

Top 10 peaks for 10 to 80 degrees two-theta, by angle:
2θ (°), Rel. int.
12.82, 44
13.43, 99
20.74, 100
27.05, 63
28.07, 82
28.22, 56
30.56, 52
33.90, 44
39.42, 50
46.26, 48

3.
Starting from the PBE geometry in Alexandria, the PXRD pattern of Ca3Bi2As2Pd4 was computed for λ = 1.5418 Å (Cu Kα).
Neutral-atom scattering factors, no anomalous dispersion.

Atomic structure:
```
Ca3Bi2As2Pd4
1.0
4.6015 0.0000 0.0000
-2.3007 3.9850 0.0000
0.0000 0.0000 13.4326
Ca Bi As Pd
3 2 2 4
direct
0.0000 0.0000 0.0000
0.0000 0.0000 0.2579
0.0000 0.0000 0.7421
0.3333 0.6667 0.5770
0.6667 0.3333 0.4230
0.3333 0.6667 0.1523
0.6667 0.3333 0.8477
0.3333 0.6667 0.3599
0.3333 0.6667 0.8656
0.6667 0.3333 0.1344
0.6667 0.3333 0.6401
```

Top 10 peaks for 10 to 80 degrees two-theta, by angle:
2θ (°), Rel. int.
22.31, 46
23.28, 19
26.54, 22
30.02, 43
34.94, 75
39.15, 100
40.50, 23
47.93, 27
53.47, 22
68.24, 21

4.
Starting from the PBE geometry in Alexandria, the PXRD pattern of Sr10In2N3 was computed for λ = 1.5418 Å (Cu Kα).
Neutral-atom scattering factors, no anomalous dispersion.

Atomic structure:
```
Sr10In2N3
1.0
12.2891 -3.8595 0.0000
12.2891 3.8595 0.0000
-4.0017 0.0000 10.0312
Sr In N
20 4 6
direct
0.0000 0.5000 0.5000
0.0240 0.0240 0.6881
0.0853 0.6157 0.0293
0.1375 0.1375 0.2514
0.1383 0.6370 0.4703
0.2261 0.7739 0.0000
0.2333 0.2333 0.7614
0.3630 0.8617 0.5297
0.3843 0.9147 0.9707
0.4836 0.4836 0.3277
0.5000 0.0000 0.5000
0.5164 0.5164 0.6723
0.6157 0.0853 0.0293
0.6370 0.1383 0.4703
0.7667 0.7667 0.2386
0.7739 0.2261 0.0000
0.8617 0.3630 0.5297
0.8625 0.8625 0.7486
0.9147 0.3843 0.9707
0.9760 0.9760 0.3119
0.2781 0.2781 0.2089
0.3842 0.3842 0.7626
0.6158 0.6158 0.2374
0.7219 0.7219 0.7911
0.0725 0.0725 0.9592
0.1764 0.1764 0.5103
0.2539 0.7461 0.5000
0.7461 0.2539 0.5000
0.8236 0.8236 0.4897
0.9275 0.9275 0.0408
```

Top 10 peaks for 10 to 80 degrees two-theta, by angle:
2θ (°), Rel. int.
27.97, 35
28.26, 54
29.20, 100
30.52, 22
31.35, 21
31.86, 77
35.80, 19
47.09, 17
48.28, 23
48.84, 20

5.
Starting from the PBE geometry in Alexandria, the PXRD pattern of Ac2Ag2HgO6 was computed for λ = 1.5418 Å (Cu Kα).
Neutral-atom scattering factors, no anomalous dispersion.

Atomic structure:
```
Ac2Ag2HgO6
1.0
3.1809 1.8365 5.6027
-3.1809 1.8365 5.6027
0.0000 -3.6729 5.6027
Ac Ag Hg O
2 2 1 6
direct
0.2068 0.2068 0.2068
0.7932 0.7932 0.7932
0.4144 0.4144 0.4144
0.5856 0.5856 0.5856
0.0000 0.0000 0.0000
0.1874 0.7582 0.7582
0.2418 0.2418 0.8126
0.2418 0.8126 0.2418
0.7582 0.1874 0.7582
0.7582 0.7582 0.1874
0.8126 0.2418 0.2418
```

Top 10 peaks for 10 to 80 degrees two-theta, by angle:
2θ (°), Rel. int.
28.05, 100
31.17, 70
42.42, 36
49.64, 21
51.63, 39
57.31, 12
57.99, 16
67.31, 16
72.20, 16
79.77, 11

6.
Starting from the PBE geometry in Alexandria, the PXRD pattern of NaNbGaOs2 was computed for λ = 1.5418 Å (Cu Kα).
Neutral-atom scattering factors, no anomalous dispersion.

Atomic structure:
```
NaNbGaOs2
1.0
4.6107 0.0000 0.0000
0.0000 4.6107 0.0000
0.0000 0.0000 4.7691
Na Nb Ga Os
1 1 1 2
direct
0.0000 0.0000 0.0000
0.5000 0.5000 0.0000
0.5000 0.5000 0.5000
0.0000 0.5000 0.5000
0.5000 0.0000 0.5000
```

Top 10 peaks for 10 to 80 degrees two-theta, by angle:
2θ (°), Rel. int.
18.61, 62
19.25, 24
33.29, 100
37.72, 33
39.07, 59
43.61, 29
55.44, 43
56.45, 20
67.13, 27
69.90, 21

7.
Starting from the PBE geometry in Alexandria, the PXRD pattern of Tb2ErS3 was computed for λ = 1.5418 Å (Cu Kα).
Neutral-atom scattering factors, no anomalous dispersion.

Atomic structure:
```
Tb2ErS3
1.0
-1.9574 2.7578 5.8520
1.9574 -2.7578 5.8520
1.9574 2.7578 -5.8520
Tb Er S
2 1 3
direct
0.1687 0.1687 0.0000
0.8313 0.8313 0.0000
0.5000 0.5000 0.0000
0.0000 0.5000 0.5000
0.3370 0.8370 0.5000
0.6630 0.1630 0.5000
```

Top 10 peaks for 10 to 80 degrees two-theta, by angle:
2θ (°), Rel. int.
27.98, 82
32.42, 100
46.39, 12
46.53, 60
55.07, 13
55.20, 27
57.76, 13
57.90, 12
74.98, 11
77.26, 16

8.
Starting from the PBE geometry in Alexandria, the PXRD pattern of AgH2Cl2O was computed for λ = 1.5418 Å (Cu Kα).
Neutral-atom scattering factors, no anomalous dispersion.

Atomic structure:
```
AgH2Cl2O
1.0
5.6089 -3.0140 0.0000
5.6089 3.0140 0.0000
0.0000 0.0000 6.6941
Ag H Cl O
2 4 4 2
direct
0.9998 0.0002 0.0000
0.0002 0.9998 0.5000
0.4003 0.4624 0.7492
0.4624 0.4003 0.2492
0.5376 0.5997 0.7492
0.5997 0.5376 0.2492
0.0161 0.2824 0.7499
0.2824 0.0161 0.2499
0.7176 0.9839 0.7499
0.9839 0.7176 0.2499
0.3688 0.6312 0.7492
0.6312 0.3688 0.2492
```

Top 10 peaks for 10 to 80 degrees two-theta, by angle:
2θ (°), Rel. int.
15.80, 43
16.70, 100
31.13, 29
31.60, 25
32.58, 10
33.76, 14
39.09, 41
42.03, 14
43.51, 13
53.84, 10

9.
Starting from the PBE geometry in Alexandria, the PXRD pattern of Ta4VW was computed for λ = 1.5418 Å (Cu Kα).
Neutral-atom scattering factors, no anomalous dispersion.

Atomic structure:
```
Ta4VW
1.0
2.7724 -7.2819 0.0000
2.7724 7.2819 0.0000
0.0000 0.0000 5.2868
Ta V W
8 2 2
direct
0.1687 0.3299 0.7500
0.2471 0.7529 0.5012
0.2471 0.7529 0.9988
0.3299 0.1687 0.2500
0.6701 0.8313 0.7500
0.7529 0.2471 0.0012
0.7529 0.2471 0.4988
0.8313 0.6701 0.2500
0.0792 0.9208 0.7500
0.9208 0.0792 0.2500
0.4160 0.5840 0.2500
0.5840 0.4160 0.7500
```

Top 10 peaks for 10 to 80 degrees two-theta, by angle:
2θ (°), Rel. int.
34.62, 47
36.15, 100
37.04, 94
38.70, 96
40.91, 26
42.25, 58
44.51, 69
47.53, 25
61.74, 23
61.89, 23